Entry 1:
Calculated powder diffractogram of KRb3Au for a wavelength of 1.5418 Å, from a structure optimized by DFT (GGA-PBE).

Structural model:
Lattice parameters (Å, degrees): 11.4805 5.0447 12.1834 90.00 114.97 90.00
Fractional positions:
1 K 0.0839 0.2500 0.3914
2 K 0.9161 0.7500 0.6086
3 Rb 0.2233 0.2500 0.9692
4 Rb 0.3505 0.7500 0.7413
5 Rb 0.3665 0.7500 0.3085
6 Rb 0.6335 0.2500 0.6915
7 Rb 0.6495 0.2500 0.2587
8 Rb 0.7767 0.7500 0.0308
9 Au 0.4714 0.7500 0.0537
10 Au 0.5286 0.2500 0.9463

Peak list (10 most intense, 10° ≤ 2θ ≤ 90°, sorted by position)
d = 6.353 Å, intensity 57
d = 3.729 Å, intensity 73
d = 3.682 Å, intensity 47
d = 3.622 Å, intensity 100
d = 3.035 Å, intensity 47
d = 2.972 Å, intensity 67
d = 2.522 Å, intensity 51
d = 2.459 Å, intensity 54
d = 2.422 Å, intensity 45
d = 2.089 Å, intensity 43


Entry 2:
Calculated powder diffractogram of K3Rb7Au2 for a wavelength of 1.5418 Å, from a structure optimized by DFT (GGA-PBE).

Structural model:
Lattice parameters (Å, degrees): 19.9683 19.9683 6.0586 90.00 90.00 161.64
Fractional positions:
1 K 0.0000 0.0000 0.0000
2 K 0.2003 0.7997 0.5000
3 K 0.7997 0.2003 0.5000
4 Rb 0.0991 0.9009 0.5000
5 Rb 0.2963 0.7037 0.0000
6 Rb 0.3985 0.6015 0.0000
7 Rb 0.5000 0.5000 0.5000
8 Rb 0.6015 0.3985 0.0000
9 Rb 0.7037 0.2963 0.0000
10 Rb 0.9009 0.0991 0.5000
11 Au 0.1542 0.8458 0.0000
12 Au 0.8458 0.1542 0.0000

Peak list (10 most intense, 10° ≤ 2θ ≤ 90°, sorted by position)
d = 6.059 Å, intensity 27
d = 5.791 Å, intensity 18
d = 5.733 Å, intensity 31
d = 3.463 Å, intensity 100
d = 3.185 Å, intensity 40
d = 3.101 Å, intensity 38
d = 3.030 Å, intensity 42
d = 2.495 Å, intensity 42
d = 2.195 Å, intensity 28
d = 1.822 Å, intensity 24


Entry 3:
Calculated powder diffractogram of K4Rb5Au6 for a wavelength of 1.5418 Å, from a structure optimized by DFT (GGA-PBE).

Structural model:
Lattice parameters (Å, degrees): 12.7300 12.7300 18.0402 90.00 90.00 154.73
Fractional positions:
1 K 0.0115 0.9885 0.5000
2 K 0.0377 0.9623 0.8052
3 K 0.1514 0.8486 0.2831
4 K 0.1692 0.8308 0.9415
5 K 0.8308 0.1692 0.4415
6 K 0.8486 0.1514 0.7831
7 K 0.9623 0.0377 0.3052
8 K 0.9885 0.0115 0.0000
9 Rb 0.1713 0.8287 0.6152
10 Rb 0.3242 0.6758 0.5918
11 Rb 0.3278 0.6722 0.2848
12 Rb 0.3450 0.6550 0.9394
13 Rb 0.4676 0.5324 0.6714
14 Rb 0.5324 0.4676 0.1714
15 Rb 0.6550 0.3450 0.4394
16 Rb 0.6722 0.3278 0.7848
17 Rb 0.6758 0.3242 0.0918
18 Rb 0.8287 0.1713 0.1152
19 Au 0.0996 0.9004 0.1114
20 Au 0.2380 0.7620 0.4368
21 Au 0.2593 0.7407 0.7785
22 Au 0.4060 0.5940 0.1126
23 Au 0.4247 0.5753 0.4342
24 Au 0.4718 0.5282 0.8655
25 Au 0.5282 0.4718 0.3655
26 Au 0.5753 0.4247 0.9342
27 Au 0.5940 0.4060 0.6126
28 Au 0.7407 0.2593 0.2785
29 Au 0.7620 0.2380 0.9368
30 Au 0.9004 0.0996 0.6114

Peak list (10 most intense, 10° ≤ 2θ ≤ 90°, sorted by position)
d = 5.435 Å, intensity 39
d = 5.115 Å, intensity 63
d = 4.477 Å, intensity 59
d = 4.033 Å, intensity 29
d = 3.156 Å, intensity 100
d = 3.007 Å, intensity 35
d = 2.844 Å, intensity 33
d = 2.785 Å, intensity 71
d = 2.680 Å, intensity 98
d = 2.448 Å, intensity 43


Entry 4:
Calculated powder diffractogram of K10Rb6Au for a wavelength of 1.5418 Å, from a structure optimized by DFT (GGA-PBE).

Structural model:
Lattice parameters (Å, degrees): 13.0697 13.0697 8.5908 90.00 90.00 120.00
Fractional positions:
1 K 0.0000 0.2099 0.2653
2 K 0.0000 0.7901 0.7347
3 K 0.2099 0.0000 0.2653
4 K 0.2099 0.2099 0.7347
5 K 0.3333 0.6667 0.0000
6 K 0.3333 0.6667 0.5000
7 K 0.6667 0.3333 0.0000
8 K 0.6667 0.3333 0.5000
9 K 0.7901 0.0000 0.7347
10 K 0.7901 0.7901 0.2653
11 Rb 0.0000 0.4013 0.7545
12 Rb 0.0000 0.5987 0.2455
13 Rb 0.4013 0.0000 0.7545
14 Rb 0.4013 0.4013 0.2455
15 Rb 0.5987 0.0000 0.2455
16 Rb 0.5987 0.5987 0.7545
17 Au 0.0000 0.0000 0.5000

Peak list (10 most intense, 10° ≤ 2θ ≤ 90°, sorted by position)
d = 6.843 Å, intensity 40
d = 5.659 Å, intensity 33
d = 5.201 Å, intensity 49
d = 3.829 Å, intensity 100
d = 3.773 Å, intensity 43
d = 3.589 Å, intensity 80
d = 3.054 Å, intensity 24
d = 2.949 Å, intensity 30
d = 2.599 Å, intensity 31
d = 2.379 Å, intensity 35


Entry 5:
Calculated powder diffractogram of K4Rb3Au3 for a wavelength of 1.5418 Å, from a structure optimized by DFT (GGA-PBE).

Structural model:
Lattice parameters (Å, degrees): 10.6615 10.6615 10.6615 109.47 109.47 109.47
Fractional positions:
1 K 0.0000 0.3467 0.5000
2 K 0.0000 0.8467 0.5000
3 K 0.1533 0.1533 0.1533
4 K 0.3467 0.5000 0.0000
5 K 0.5000 0.0000 0.3467
6 K 0.5000 0.0000 0.8467
7 K 0.6533 0.6533 0.6533
8 K 0.8467 0.5000 0.0000
9 Rb 0.1250 0.7500 0.8750
10 Rb 0.2500 0.6250 0.3750
11 Rb 0.3750 0.2500 0.6250
12 Rb 0.6250 0.3750 0.2500
13 Rb 0.7500 0.8750 0.1250
14 Rb 0.8750 0.1250 0.7500
15 Au 0.1250 0.8750 0.2500
16 Au 0.2500 0.1250 0.8750
17 Au 0.3750 0.6250 0.7500
18 Au 0.6250 0.7500 0.3750
19 Au 0.7500 0.3750 0.6250
20 Au 0.8750 0.2500 0.1250

Peak list (10 most intense, 10° ≤ 2θ ≤ 90°, sorted by position)
d = 5.026 Å, intensity 100
d = 4.353 Å, intensity 21
d = 3.290 Å, intensity 97
d = 2.753 Å, intensity 84
d = 2.625 Å, intensity 27
d = 2.414 Å, intensity 24
d = 2.248 Å, intensity 21
d = 1.997 Å, intensity 25
d = 1.707 Å, intensity 20
d = 1.675 Å, intensity 29


Entry 6:
Calculated powder diffractogram of K4Rb7Au for a wavelength of 1.5418 Å, from a structure optimized by DFT (GGA-PBE).

Structural model:
Lattice parameters (Å, degrees): 8.5467 8.5467 17.1867 102.08 102.08 48.38
Fractional positions:
1 K 0.0436 0.0436 0.3195
2 K 0.3170 0.3170 0.2305
3 K 0.6830 0.6830 0.7695
4 K 0.9564 0.9564 0.6805
5 Rb 0.1384 0.1384 0.9513
6 Rb 0.2219 0.2219 0.5901
7 Rb 0.4112 0.4112 0.8588
8 Rb 0.5000 0.5000 0.5000
9 Rb 0.5888 0.5888 0.1412
10 Rb 0.7781 0.7781 0.4099
11 Rb 0.8616 0.8616 0.0487
12 Au 0.0000 0.0000 0.5000

Peak list (10 most intense, 10° ≤ 2θ ≤ 90°, sorted by position)
d = 8.364 Å, intensity 65
d = 6.381 Å, intensity 46
d = 6.144 Å, intensity 44
d = 4.006 Å, intensity 83
d = 3.987 Å, intensity 82
d = 3.530 Å, intensity 85
d = 3.502 Å, intensity 82
d = 3.358 Å, intensity 88
d = 2.486 Å, intensity 65
d = 2.424 Å, intensity 100


Entry 7:
Calculated powder diffractogram of K2Rb6Au for a wavelength of 1.5418 Å, from a structure optimized by DFT (GGA-PBE).

Structural model:
Lattice parameters (Å, degrees): 5.0903 12.1335 12.1335 120.21 90.00 90.00
Fractional positions:
1 K 0.0000 0.1747 0.8253
2 K 0.0000 0.8253 0.1747
3 Rb 0.0000 0.2795 0.4877
4 Rb 0.0000 0.4877 0.2795
5 Rb 0.0000 0.7196 0.7196
6 Rb 0.5000 0.0907 0.0907
7 Rb 0.5000 0.5038 0.8625
8 Rb 0.5000 0.8625 0.5038
9 Au 0.5000 0.5102 0.5102

Peak list (10 most intense, 10° ≤ 2θ ≤ 90°, sorted by position)
d = 3.968 Å, intensity 56
d = 3.897 Å, intensity 79
d = 3.654 Å, intensity 92
d = 3.499 Å, intensity 53
d = 3.130 Å, intensity 100
d = 2.884 Å, intensity 34
d = 2.545 Å, intensity 23
d = 2.526 Å, intensity 27
d = 2.179 Å, intensity 27
d = 2.058 Å, intensity 24


Entry 8:
Calculated powder diffractogram of K4Rb5Au for a wavelength of 1.5418 Å, from a structure optimized by DFT (GGA-PBE).

Structural model:
Lattice parameters (Å, degrees): 12.0472 12.0472 13.4154 100.57 100.57 23.11
Fractional positions:
1 K 0.0009 0.0009 0.1680
2 K 0.3545 0.3545 0.9543
3 K 0.6455 0.6455 0.0457
4 K 0.9991 0.9991 0.8320
5 Rb 0.1706 0.1706 0.3832
6 Rb 0.1731 0.1731 0.7424
7 Rb 0.5000 0.5000 0.5000
8 Rb 0.8269 0.8269 0.2576
9 Rb 0.8294 0.8294 0.6168
10 Au 0.5000 0.5000 0.0000

Peak list (10 most intense, 10° ≤ 2θ ≤ 90°, sorted by position)
d = 7.994 Å, intensity 29
d = 5.317 Å, intensity 36
d = 4.094 Å, intensity 56
d = 3.911 Å, intensity 87
d = 3.867 Å, intensity 100
d = 3.157 Å, intensity 43
d = 2.832 Å, intensity 35
d = 2.754 Å, intensity 26
d = 2.673 Å, intensity 29
d = 2.047 Å, intensity 34


Entry 9:
Calculated powder diffractogram of K2RbSb2Au for a wavelength of 1.5418 Å, from a structure optimized by DFT (GGA-PBE).

Structural model:
Lattice parameters (Å, degrees): 7.9007 7.9007 7.9007 128.41 128.41 75.96
Fractional positions:
1 K 0.2500 0.7500 0.5000
2 K 0.7500 0.2500 0.5000
3 Rb 0.0000 0.0000 0.0000
4 Sb 0.2932 0.2932 0.0000
5 Sb 0.7068 0.7068 0.0000
6 Au 0.5000 0.5000 0.0000

Peak list (10 most intense, 10° ≤ 2θ ≤ 90°, sorted by position)
d = 6.019 Å, intensity 49
d = 4.862 Å, intensity 100
d = 3.438 Å, intensity 83
d = 3.114 Å, intensity 20
d = 2.622 Å, intensity 22
d = 2.431 Å, intensity 33
d = 2.308 Å, intensity 35
d = 2.174 Å, intensity 26
d = 1.936 Å, intensity 22
d = 1.916 Å, intensity 20


Entry 10:
Calculated powder diffractogram of K2RbAuSe2 for a wavelength of 1.5418 Å, from a structure optimized by DFT (GGA-PBE).

Structural model:
Lattice parameters (Å, degrees): 7.3711 7.3711 7.3711 127.62 127.62 77.24
Fractional positions:
1 K 0.2500 0.7500 0.5000
2 K 0.7500 0.2500 0.5000
3 Rb 0.0000 0.0000 0.0000
4 Au 0.5000 0.5000 0.0000
5 Se 0.2880 0.2880 0.0000
6 Se 0.7120 0.7120 0.0000

Peak list (10 most intense, 10° ≤ 2θ ≤ 90°, sorted by position)
d = 5.665 Å, intensity 52
d = 4.601 Å, intensity 100
d = 3.594 Å, intensity 43
d = 3.253 Å, intensity 93
d = 2.880 Å, intensity 25
d = 2.441 Å, intensity 27
d = 2.300 Å, intensity 35
d = 2.156 Å, intensity 44
d = 2.057 Å, intensity 25
d = 1.797 Å, intensity 25


Entry 11:
Calculated powder diffractogram of KRbSnAu for a wavelength of 1.5418 Å, from a structure optimized by DFT (GGA-PBE).

Structural model:
Lattice parameters (Å, degrees): 8.0426 8.0426 8.0426 35.90 35.90 35.90
Fractional positions:
1 K 0.0000 0.0000 0.0000
2 Rb 0.8089 0.8089 0.8089
3 Sn 0.2437 0.2437 0.2437
4 Au 0.5778 0.5778 0.5778

Peak list (10 most intense, 10° ≤ 2θ ≤ 90°, sorted by position)
d = 7.516 Å, intensity 100
d = 4.012 Å, intensity 13
d = 3.415 Å, intensity 44
d = 3.109 Å, intensity 44
d = 2.505 Å, intensity 15
d = 2.478 Å, intensity 52
d = 2.354 Å, intensity 45
d = 2.069 Å, intensity 15
d = 1.762 Å, intensity 31
d = 1.497 Å, intensity 16


Entry 12:
Calculated powder diffractogram of KRb2TlAu2 for a wavelength of 1.5418 Å, from a structure optimized by DFT (GGA-PBE).

Structural model:
Lattice parameters (Å, degrees): 5.3210 9.5458 8.7031 90.00 90.00 90.00
Fractional positions:
1 K 0.0000 0.0438 0.0000
2 K 0.0000 0.9562 0.5000
3 Rb 0.0000 0.3369 0.3518
4 Rb 0.0000 0.6631 0.8518
5 Rb 0.5000 0.3841 0.0079
6 Rb 0.5000 0.6159 0.5079
7 Tl 0.5000 0.1841 0.6409
8 Tl 0.5000 0.8159 0.1409
9 Au 0.0000 0.3066 0.7372
10 Au 0.0000 0.6934 0.2372
11 Au 0.5000 0.0986 0.2919
12 Au 0.5000 0.9014 0.7919

Peak list (10 most intense, 10° ≤ 2θ ≤ 90°, sorted by position)
d = 6.431 Å, intensity 88
d = 4.648 Å, intensity 64
d = 3.289 Å, intensity 86
d = 3.177 Å, intensity 100
d = 2.776 Å, intensity 53
d = 2.752 Å, intensity 44
d = 2.731 Å, intensity 65
d = 2.660 Å, intensity 85
d = 2.460 Å, intensity 86
d = 2.112 Å, intensity 48


Entry 13:
Calculated powder diffractogram of K4Rb2TlAu2 for a wavelength of 1.5418 Å, from a structure optimized by DFT (GGA-PBE).

Structural model:
Lattice parameters (Å, degrees): 6.3736 8.0941 10.1170 93.07 103.26 100.99
Fractional positions:
1 K 0.0586 0.2548 0.4718
2 K 0.1685 0.7869 0.1595
3 K 0.8315 0.2131 0.8405
4 K 0.9414 0.7452 0.5282
5 Rb 0.4898 0.3417 0.1973
6 Rb 0.5102 0.6583 0.8027
7 Tl 0.5000 0.0000 0.5000
8 Au 0.3908 0.6313 0.4489
9 Au 0.6092 0.3687 0.5511

Peak list (10 most intense, 10° ≤ 2θ ≤ 90°, sorted by position)
d = 6.067 Å, intensity 100
d = 5.836 Å, intensity 85
d = 4.898 Å, intensity 35
d = 3.384 Å, intensity 32
d = 3.265 Å, intensity 40
d = 3.223 Å, intensity 30
d = 3.034 Å, intensity 25
d = 2.625 Å, intensity 40
d = 2.378 Å, intensity 41
d = 2.030 Å, intensity 26